Record 1
Na2Tl4Cd3: simulated XRD peak list (λ = 1.5418 Å (Cu Kα)), based on a GGA-PBE-relaxed structure.
Neutral-atom scattering factors, no anomalous dispersion.

Most intense lines, 2θ = 15–90°, in order of rising 2θ:
2θ/deg  I_rel
22.02  33
24.51  13
32.60  100
33.42  89
34.75  43
34.87  41
44.59  19
50.06  30
57.73  17
60.60  17
60.94  17
61.45  15

Structural model:
```
Na2Tl4Cd3
1.0
5.163 0.000 0.000
2.579 4.739 0.000
0.004 1.153 9.936
Na Tl Cd
2 4 3
Cartesian
1.294 0.899 2.275 Na
6.452 4.992 7.661 Na
1.293 1.914 8.870 Tl
3.871 3.319 6.601 Tl
3.874 2.573 3.334 Tl
6.453 3.978 1.066 Tl
1.290 1.512 5.556 Cd
3.871 2.369 0.000 Cd
6.455 4.380 4.380 Cd
```



Record 2
Na6TlCd23: simulated XRD peak list (λ = 1.5418 Å (Cu Kα)), based on a GGA-PBE-relaxed structure.
Neutral-atom scattering factors, no anomalous dispersion.

Most intense lines, 2θ = 15–90°, in order of rising 2θ:
2θ/deg  I_rel
21.64  23
25.03  5
28.05  7
32.71  9
35.70  100
42.13  15
51.38  13
62.25  5
64.13  24
75.62  7
79.75  6
86.53  7

Structural model:
```
Na6TlCd23
1.0
0.000 7.114 7.114
7.114 0.000 7.114
7.114 7.114 0.000
Na Tl Cd
6 1 23
Cartesian
7.114 7.114 3.303 Na
7.114 3.303 7.114 Na
10.925 7.114 7.114 Na
3.303 7.114 7.114 Na
7.114 10.925 7.114 Na
7.114 7.114 10.925 Na
0.000 0.000 0.000 Tl
3.557 3.557 0.000 Cd
3.557 0.000 3.557 Cd
7.114 3.557 3.557 Cd
8.894 5.334 5.334 Cd
2.119 2.119 2.119 Cd
4.995 4.995 2.119 Cd
4.995 2.119 4.995 Cd
5.334 5.334 5.334 Cd
8.894 8.894 5.334 Cd
8.894 5.334 8.894 Cd
12.108 9.233 9.233 Cd
0.000 3.557 3.557 Cd
3.557 7.114 3.557 Cd
3.557 3.557 7.114 Cd
7.114 7.114 7.114 Cd
2.119 4.995 4.995 Cd
5.334 8.894 5.334 Cd
5.334 5.334 8.894 Cd
8.894 8.894 8.894 Cd
9.233 12.108 9.233 Cd
9.233 9.233 12.108 Cd
12.108 12.108 12.108 Cd
5.334 8.894 8.894 Cd
```